1.
Diffraction record for BaLaTiCrO6. The powder diffractogram is computed, not measured: it uses the PBE+U geometry in the Materials Project and Cu Kα X-rays.

Top 7 peaks for 5° ≤ 2θ ≤ 70°, by angle:
2θ (°)	I/Imax	(hkl)
22.32	17	2 0 0
31.78	100	2 2 0
39.18	23	2 2 2
45.56	34	4 0 0
51.30	9	4 2 0
56.61	38	4 2 2
66.40	20	4 4 0

Lattice parameters (Å, degrees): 7.965 7.965 7.965 90.00 90.00 90.00
Space group F-43m (No. 216)
Unique sites:
Ba 0.000 0.000 0.000 [4 per cell]
La 0.000 0.000 0.500 [4 per cell]
Ti 0.250 0.250 0.750 [4 per cell]
Cr 0.250 0.250 0.250 [4 per cell]
O 0.002 0.250 0.750 [24 per cell]

2.
Diffraction record for Ba3La2Ti3Cr2O15. The powder diffractogram is computed, not measured: it uses the PBE+U geometry in the Materials Project and Cu Kα X-rays.

Top 12 peaks for 5° ≤ 2θ ≤ 70°, by angle:
2θ (°)	I/Imax	(hkl)
22.27	27	1 5 0
31.53	26	2 0 0
31.70	100	1 5 1
31.87	24	0 10 0
38.94	18	2 0 1
39.22	17	0 10 1
45.44	50	0 0 2
56.25	19	3 5 1
56.35	10	2 0 2
56.56	9	0 10 2
56.68	18	1 15 1
66.21	20	2 10 2

Lattice parameters (Å, degrees): 5.675 28.081 3.993 90.00 90.00 90.00
Space group Cmmm (No. 65)
Unique sites:
Ba 0.000 0.000 0.000 [2 per cell]
Ba 0.000 0.398 0.000 [4 per cell]
La 0.000 0.203 0.000 [4 per cell]
Ti 0.000 0.103 0.500 [4 per cell]
Ti 0.000 0.500 0.500 [2 per cell]
Cr 0.000 0.299 0.500 [4 per cell]
O 0.000 0.104 0.000 [4 per cell]
O 0.000 0.294 0.000 [4 per cell]
O 0.000 0.500 0.000 [2 per cell]
O 0.235 0.153 0.500 [8 per cell]
O 0.249 0.449 0.500 [8 per cell]
O 0.250 0.250 0.500 [4 per cell]